Structure and theoretical powder X-ray diffraction pattern of Er2Ge2Rh5Pb (a crystal structure in Alexandria, relaxed with PBE; Cu Kα X-rays).

Cell and atoms:
Lattice parameters (Å, degrees): 9.789 9.789 3.686 90.00 90.00 90.00
Space group P4/mbm (No. 127)
Asymmetric unit:
Er1 0.175 0.325 0.000 (multiplicity 4)
Ge1 0.122 0.622 0.000 (multiplicity 4)
Rh1 0.000 0.500 0.500 (multiplicity 2)
Rh2 0.071 0.785 0.500 (multiplicity 8)
Pb1 0.000 0.000 0.000 (multiplicity 2)

Principal peaks in the range 2θ from 5° to 70°, low angle first:
31.73 deg, I = 19, hkl 2 1 1
35.58 deg, I = 22, hkl 2 2 1
37.94 deg, I = 100, hkl 3 1 1
41.28 deg, I = 36, hkl 4 2 0
49.45 deg, I = 15, hkl 0 0 2
62.23 deg, I = 8, hkl 6 0 1
63.95 deg, I = 12, hkl 4 1 2
66.30 deg, I = 8, hkl 4 2 2